Entry 1:
# Lu3Ge13Rh4
Simulated powder XRD pattern, Cu Kα (weighted mean of Kα1 and Kα2). Input: a cell relaxed with GGA-PBE.
Peak positions follow from Bragg's law for the DFT cell and can differ from measured ones.

Cell and atoms:
```
Lu3Ge13Rh4
1.0
8.9866 0.0000 0.0000
0.0000 8.9866 0.0000
0.0000 0.0000 8.9866
Lu Ge Rh
6 26 8
Direct
0.0000 0.2500 0.5000 Lu
0.0000 0.7500 0.5000 Lu
0.2500 0.5000 0.0000 Lu
0.5000 0.0000 0.2500 Lu
0.5000 0.0000 0.7500 Lu
0.7500 0.5000 0.0000 Lu
0.0000 0.0000 0.0000 Ge
0.0000 0.3099 0.1453 Ge
0.0000 0.3099 0.8547 Ge
0.0000 0.6901 0.1453 Ge
0.0000 0.6901 0.8547 Ge
0.1453 0.0000 0.3099 Ge
0.1453 0.0000 0.6901 Ge
0.1901 0.5000 0.3547 Ge
0.1901 0.5000 0.6453 Ge
0.3099 0.1453 0.0000 Ge
0.3099 0.8547 0.0000 Ge
0.3547 0.1901 0.5000 Ge
0.3547 0.8099 0.5000 Ge
0.5000 0.3547 0.1901 Ge
0.5000 0.3547 0.8099 Ge
0.5000 0.5000 0.5000 Ge
0.5000 0.6453 0.1901 Ge
0.5000 0.6453 0.8099 Ge
0.6453 0.1901 0.5000 Ge
0.6453 0.8099 0.5000 Ge
0.6901 0.1453 0.0000 Ge
0.6901 0.8547 0.0000 Ge
0.8099 0.5000 0.3547 Ge
0.8099 0.5000 0.6453 Ge
0.8547 0.0000 0.3099 Ge
0.8547 0.0000 0.6901 Ge
0.2500 0.2500 0.2500 Rh
0.2500 0.2500 0.7500 Rh
0.2500 0.7500 0.2500 Rh
0.2500 0.7500 0.7500 Rh
0.7500 0.2500 0.2500 Rh
0.7500 0.2500 0.7500 Rh
0.7500 0.7500 0.2500 Rh
0.7500 0.7500 0.7500 Rh
```

Principal peaks in the range 2θ from 15° to 90°, low angle first:
2theta	d [Å]	I (rel.)
34.58	2.594	265
36.03	2.492	1000
37.44	2.402	411
40.14	2.247	312
49.70	1.834	183
69.37	1.355	217

***

Entry 2:
# BaAs2Xe5F22
Simulated powder XRD pattern, Cu Kα (weighted mean of Kα1 and Kα2). Input: a cell relaxed with GGA-PBE.
Peak positions follow from Bragg's law for the DFT cell and can differ from measured ones.

Cell and atoms:
```
BaAs2Xe5F22
1.0
0.0000 7.1040 7.1060
6.0160 0.0000 7.1060
6.0160 7.1040 0.0000
Ba As Xe F
1 2 5 22
Direct
0.0000 0.0000 0.0000 Ba
0.0000 0.5000 0.0000 As
0.5000 0.0000 0.5000 As
0.0000 0.0000 0.5000 Xe
0.0000 0.5000 0.5000 Xe
0.5000 0.0000 0.0000 Xe
0.5000 0.5000 0.0000 Xe
0.5000 0.5000 0.5000 Xe
0.0446 0.5966 0.7784 F
0.0456 0.3055 0.9544 F
0.0549 0.6998 0.3002 F
0.0750 0.9250 0.6985 F
0.2216 0.4196 0.9554 F
0.3002 0.9451 0.0549 F
0.3015 0.6985 0.9250 F
0.3055 0.0456 0.6945 F
0.3536 0.6464 0.3536 F
0.4034 0.9554 0.4196 F
0.4196 0.2216 0.4034 F
0.5804 0.7784 0.5966 F
0.5966 0.0446 0.5804 F
0.6464 0.3536 0.6464 F
0.6945 0.9544 0.3055 F
0.6985 0.3015 0.0750 F
0.6998 0.0549 0.9451 F
0.7784 0.5804 0.0446 F
0.9250 0.0750 0.3015 F
0.9451 0.3002 0.6998 F
0.9544 0.6945 0.0456 F
0.9554 0.4034 0.2216 F
```

Principal peaks in the range 2θ from 15° to 90°, low angle first:
2theta	d [Å]	I (rel.)
23.06	3.856	1000
25.07	3.553	327
29.70	3.008	139
39.24	2.296	202
42.97	2.105	337
47.14	1.928	142